# NpCr2PO8
Simulated X-ray powder pattern, Cu Kα (weighted mean of Kα1 and Kα2). Input: a crystal structure in Alexandria, relaxed with GGA+U.
Kinematic intensities with the Lorentz-polarization factor, no thermal factor.

The 10 most intense peaks (10 to 90 degrees two-theta), by intensity:
2theta, d [Å], intensity
28.0, 3.187, 100
34.8, 2.577, 77
24.3, 3.662, 72
54.1, 1.696, 63
14.1, 6.282, 38
19.7, 4.507, 38
31.5, 2.842, 33
47.4, 1.919, 32
40.0, 2.253, 19
69.3, 1.355, 19

Structural model:
Lattice parameters (Å, degrees): 6.369 6.378 6.282 90.00 90.00 90.00
Space group Cmmm (No. 65)
Unique sites:
1 Np 0.000 0.000 0.000
2 Cr 0.000 0.500 0.274
3 P 0.000 0.000 0.500
4 O 0.000 0.280 0.500
5 O 0.000 0.317 0.000
6 O 0.183 0.000 0.298